1.
Calculated powder XRD pattern
Compound: PuCo2GeC
Radiation: Cu Kα (λ = 1.5418 Å)
Structure: a PBE-relaxed structure
Intensities are scaled so that the largest is 100.

Principal peaks in the range 2θ = 10–90°, low angle first:
hkl	2theta	I/Imax
1 1 0	25.07	36
0 0 2	26.10	28
0 2 2	31.05	21
1 3 0	34.60	37
0 4 1	35.98	51
1 1 2	36.51	100
1 3 1	37.09	73
2 0 0	48.36	26
1 3 3	53.58	23
2 4 1	61.73	21

Crystal structure
```
data_PuCo2GeC
_chemical_formula_sum 'Pu4 Co8 Ge4 C4'
_symmetry_space_group_name_H-M 'C m c m'
_symmetry_Int_Tables_number 63
_symmetry_space_group_name_Hall '-C 2c 2'
_cell_length_a 3.764
_cell_length_b 10.728
_cell_length_c 6.827
_cell_angle_alpha 90.00
_cell_angle_beta 90.00
_cell_angle_gamma 90.00
loop_
_atom_site_label
_atom_site_type_symbol
_atom_site_fract_x
_atom_site_fract_y
_atom_site_fract_z
_atom_site_occupancy
Pu1 Pu 0.000 0.047 0.250 1
Co1 Co 0.000 0.338 0.057 1
Ge1 Ge 0.000 0.230 0.750 1
C1 C 0.000 0.500 0.000 1
```

***

2.
Calculated powder XRD pattern
Compound: U6Co12Ge4C
Radiation: Cu Kα (λ = 1.5418 Å)
Structure: a PBE-relaxed structure
Intensities are scaled so that the largest is 100.

Principal peaks in the range 2θ = 10–90°, low angle first:
hkl	2theta	I/Imax
2 1 1	25.13	44
3 1 0	32.62	47
2 2 2	35.83	86
3 2 1	38.81	33
4 0 0	41.61	37
3 3 0	44.27	100
5 2 1	58.21	40
4 4 0	60.31	19
6 2 2	72.18	32
5 5 2	81.47	23

Crystal structure
```
data_U6Co12Ge4C
_chemical_formula_sum 'U12 Co24 Ge8 C2'
_symmetry_space_group_name_H-M 'I m -3 m'
_symmetry_Int_Tables_number 229
_symmetry_space_group_name_Hall '-I 4 2 3'
_cell_length_a 8.681
_cell_length_b 8.681
_cell_length_c 8.681
_cell_angle_alpha 90.00
_cell_angle_beta 90.00
_cell_angle_gamma 90.00
loop_
_atom_site_label
_atom_site_type_symbol
_atom_site_fract_x
_atom_site_fract_y
_atom_site_fract_z
_atom_site_occupancy
U1 U 0.000 0.000 0.279 1
Co1 Co 0.000 0.351 0.351 1
Ge1 Ge 0.250 0.250 0.250 1
C1 C 0.000 0.000 0.000 1
```